Structure and calculated XRD peak list of Sr2ZrFeO6 (a structure optimized by DFT (PBE+U); CuKα).
No peak broadening, texture or thermal motion is included.

Most intense lines, 15° ≤ 2θ ≤ 90°, low angle first:
4.680 Å, 2θ = 18.96°, intensity 2
2.866 Å, 2θ = 31.21°, intensity 100
2.444 Å, 2θ = 36.77°, intensity 2
2.340 Å, 2θ = 38.47°, intensity 6
2.027 Å, 2θ = 44.71°, intensity 37
1.655 Å, 2θ = 55.53°, intensity 39
1.433 Å, 2θ = 65.09°, intensity 22
1.282 Å, 2θ = 73.95°, intensity 17
1.222 Å, 2θ = 78.22°, intensity 2
1.170 Å, 2θ = 82.42°, intensity 7

Crystal structure
```
Sr2ZrFeO6
1.0
0.0000 4.0534 4.0534
4.0534 0.0000 4.0534
4.0534 4.0534 0.0000
Sr Zr Fe O
2 1 1 6
Direct
0.2500 0.2500 0.2500
0.7500 0.7500 0.7500
0.0000 0.0000 0.0000
0.5000 0.5000 0.5000
0.2572 0.2572 0.7428
0.2572 0.7428 0.2572
0.2572 0.7428 0.7428
0.7428 0.2572 0.2572
0.7428 0.2572 0.7428
0.7428 0.7428 0.2572
```